No. 1
Starting from the GGA-PBE geometry in Alexandria, the powder diffractogram of Zn3Cd was calculated for λ = 1.5418 Å (Cu Kα).
Lines closer than 0.1° are merged.

Atomic structure:
```
data_Zn3Cd
_symmetry_space_group_name_H-M 'C 1 2/m 1'
_symmetry_Int_Tables_number 12
_cell_length_a 8.925
_cell_length_b 2.975
_cell_length_c 5.313
_cell_angle_alpha 90.00
_cell_angle_beta 100.39
_cell_angle_gamma 90.00
loop_
_symmetry_equiv_pos_as_xyz
'x,y,z'
'-x,-y,-z'
'-x,y,-z'
'x,-y,z'
'x+1/2,y+1/2,z'
'-x+1/2,-y+1/2,-z'
'-x+1/2,y+1/2,-z'
'x+1/2,-y+1/2,z'
loop_
_atom_site_label
_atom_site_type_symbol
_atom_site_fract_x
_atom_site_fract_y
_atom_site_fract_z
_atom_site_occupancy
Zn1 Zn 0.000 0.000 0.000 1
Zn2 Zn 0.244 0.500 0.220 1
Cd1 Cd 0.000 0.500 0.500 1
```

Top 12 peaks for 2θ from 10° to 90°, in order of rising 2θ:
- 2θ = 36.72°, intensity 51
- 2θ = 37.12°, intensity 100
- 2θ = 41.13°, intensity 38
- 2θ = 43.38°, intensity 30
- 2θ = 44.65°, intensity 60
- 2θ = 60.89°, intensity 20
- 2θ = 62.43°, intensity 10
- 2θ = 67.05°, intensity 16
- 2θ = 74.67°, intensity 11
- 2θ = 76.79°, intensity 10
- 2θ = 77.52°, intensity 11
- 2θ = 79.07°, intensity 9

No. 2
Starting from the GGA-PBE geometry in Alexandria, the powder diffractogram of MgCo2Cl6 was calculated for λ = 1.5418 Å (Cu Kα).
Lines closer than 0.1° are merged.

Atomic structure:
```
data_MgCo2Cl6
_symmetry_space_group_name_H-M 'C 1 2/m 1'
_symmetry_Int_Tables_number 12
_cell_length_a 12.159
_cell_length_b 3.725
_cell_length_c 10.394
_cell_angle_alpha 90.00
_cell_angle_beta 96.97
_cell_angle_gamma 90.00
loop_
_symmetry_equiv_pos_as_xyz
'x,y,z'
'-x,-y,-z'
'-x,y,-z'
'x,-y,z'
'x+1/2,y+1/2,z'
'-x+1/2,-y+1/2,-z'
'-x+1/2,y+1/2,-z'
'x+1/2,-y+1/2,z'
loop_
_atom_site_label
_atom_site_type_symbol
_atom_site_fract_x
_atom_site_fract_y
_atom_site_fract_z
_atom_site_occupancy
Mg1 Mg 0.000 0.000 0.000 1
Co1 Co 0.208 0.500 0.741 1
Cl1 Cl 0.108 0.000 0.218 1
Cl2 Cl 0.123 0.500 0.930 1
Cl3 Cl 0.152 0.000 0.627 1
```

Top 12 peaks for 2θ from 10° to 90°, in order of rising 2θ:
- 2θ = 14.68°, intensity 50
- 2θ = 17.19°, intensity 65
- 2θ = 17.91°, intensity 66
- 2θ = 21.26°, intensity 75
- 2θ = 26.19°, intensity 35
- 2θ = 26.79°, intensity 100
- 2θ = 31.03°, intensity 34
- 2θ = 31.89°, intensity 33
- 2θ = 48.90°, intensity 33
- 2θ = 49.65°, intensity 32
- 2θ = 50.02°, intensity 61
- 2θ = 50.31°, intensity 60

No. 3
Starting from the GGA-PBE geometry in Alexandria, the powder diffractogram of Na3PH was calculated for λ = 1.5418 Å (Cu Kα).
Lines closer than 0.1° are merged.

Atomic structure:
```
data_Na3PH
_symmetry_space_group_name_H-M 'P -1'
_symmetry_Int_Tables_number 2
_cell_length_a 3.922
_cell_length_b 6.127
_cell_length_c 9.294
_cell_angle_alpha 100.27
_cell_angle_beta 90.05
_cell_angle_gamma 108.62
loop_
_symmetry_equiv_pos_as_xyz
'x,y,z'
'-x,-y,-z'
loop_
_atom_site_label
_atom_site_type_symbol
_atom_site_fract_x
_atom_site_fract_y
_atom_site_fract_z
_atom_site_occupancy
Na1 Na 0.110 0.220 0.213 1
Na2 Na 0.158 0.315 0.603 1
Na3 Na 0.364 0.727 0.100 1
P1 P 0.461 0.921 0.598 1
H1 H 0.252 0.504 0.850 1
```

Top 12 peaks for 2θ from 10° to 90°, in order of rising 2θ:
- 2θ = 15.54°, intensity 17
- 2θ = 30.59°, intensity 19
- 2θ = 31.37°, intensity 17
- 2θ = 32.01°, intensity 100
- 2θ = 32.81°, intensity 22
- 2θ = 32.95°, intensity 68
- 2θ = 34.68°, intensity 25
- 2θ = 35.58°, intensity 16
- 2θ = 35.98°, intensity 45
- 2θ = 39.01°, intensity 17
- 2θ = 46.30°, intensity 30
- 2θ = 60.61°, intensity 19

No. 4
Starting from the GGA-PBE geometry in Alexandria, the powder diffractogram of ErCd5Hg6 was calculated for λ = 1.5418 Å (Cu Kα).
Lines closer than 0.1° are merged.

Atomic structure:
```
data_ErCd5Hg6
_symmetry_space_group_name_H-M 'C 1 2/m 1'
_symmetry_Int_Tables_number 12
_cell_length_a 8.931
_cell_length_b 15.751
_cell_length_c 4.791
_cell_angle_alpha 90.00
_cell_angle_beta 121.86
_cell_angle_gamma 90.00
loop_
_symmetry_equiv_pos_as_xyz
'x,y,z'
'-x,-y,-z'
'-x,y,-z'
'x,-y,z'
'x+1/2,y+1/2,z'
'-x+1/2,-y+1/2,-z'
'-x+1/2,y+1/2,-z'
'x+1/2,-y+1/2,z'
loop_
_atom_site_label
_atom_site_type_symbol
_atom_site_fract_x
_atom_site_fract_y
_atom_site_fract_z
_atom_site_occupancy
Er1 Er 0.000 0.000 0.000 1
Cd1 Cd 0.000 0.166 0.500 1
Cd2 Cd 0.000 0.317 0.000 1
Cd3 Cd 0.000 0.500 0.500 1
Hg1 Hg 0.239 0.500 0.240 1
Hg2 Hg 0.243 0.340 0.745 1
```

Top 12 peaks for 2θ from 10° to 90°, in order of rising 2θ:
- 2θ = 25.17°, intensity 13
- 2θ = 34.15°, intensity 50
- 2θ = 34.54°, intensity 100
- 2θ = 34.80°, intensity 98
- 2θ = 37.55°, intensity 41
- 2θ = 47.97°, intensity 20
- 2θ = 51.66°, intensity 30
- 2θ = 60.20°, intensity 19
- 2θ = 61.39°, intensity 17
- 2θ = 61.56°, intensity 16
- 2θ = 65.67°, intensity 15
- 2θ = 66.16°, intensity 15